For Sr3Tl7Hg4, a DFT-relaxed cell (GGA-PBE, Alexandria) gives the theoretical powder diffraction line list in this record (CuKα).
Kinematic intensities with the Lorentz-polarization factor, no thermal factor.

Structure:
```
data_Sr3Tl7Hg4
_symmetry_space_group_name_H-M 'C 1 2/m 1'
_symmetry_Int_Tables_number 12
_symmetry_space_group_name_Hall '-C 2y'
_cell_length_a 18.5350
_cell_length_b 5.0753
_cell_length_c 11.7316
_cell_angle_alpha 90.00
_cell_angle_beta 128.87
_cell_angle_gamma 90.00
loop_
_atom_site_label
_atom_site_type_symbol
_atom_site_fract_x
_atom_site_fract_y
_atom_site_fract_z
Sr1 Sr 0.0000 0.0000 0.0000
Sr2 Sr 0.2019 0.5000 0.7151
Tl1 Tl 0.0000 0.0000 0.5000
Tl2 Tl 0.0098 0.5000 0.3287
Tl3 Tl 0.1572 0.0000 0.4257
Tl4 Tl 0.1566 0.5000 0.0155
Hg1 Hg 0.1386 0.0000 0.8591
Hg2 Hg 0.1484 0.5000 0.2616
```

The 10 most intense peaks (5° ≤ 2θ ≤ 70°), low angle first:
| 2θ (°) | I/Imax |
| --- | --- |
| 20.0 | 40 |
| 29.7 | 82 |
| 29.8 | 100 |
| 31.3 | 73 |
| 31.5 | 46 |
| 35.4 | 95 |
| 35.9 | 71 |
| 37.4 | 51 |
| 38.2 | 46 |
| 52.4 | 40 |